# Sm3Ho3Tm5
Simulated powder diffractogram, Cu Kα X-rays. Input: a crystal structure in Alexandria, relaxed with GGA-PBE.

Principal peaks in the range 2θ = 15–90°, in order of falling intensity:
32.98 deg, 2.716 Å, intensity 100.0
36.43 deg, 2.466 Å, intensity 55.4
27.04 deg, 3.298 Å, intensity 47.5
16.33 deg, 5.427 Å, intensity 43.6
32.34 deg, 2.769 Å, intensity 36.3
46.88 deg, 1.938 Å, intensity 26.1
42.64 deg, 2.120 Å, intensity 25.5
28.43 deg, 3.139 Å, intensity 25.1
61.51 deg, 1.508 Å, intensity 18.9
72.28 deg, 1.307 Å, intensity 18.7
18.50 deg, 4.795 Å, intensity 16.3
44.11 deg, 2.053 Å, intensity 15.3

abc: 9.5904 9.5904 5.4274
angles: 90.00 90.00 120.00
Fractional coordinates of all 11 atoms:
Sm  0.0000  0.6310  0.0000
Sm  0.3690  0.3690  0.0000
Sm  0.6310  0.0000  0.0000
Ho  0.0000  0.4467  0.5000
Ho  0.4467  0.0000  0.5000
Ho  0.5533  0.5533  0.5000
Tm  0.0000  0.2645  0.0000
Tm  0.2645  0.0000  0.0000
Tm  0.3333  0.6667  0.0000
Tm  0.6667  0.3333  0.0000
Tm  0.7355  0.7355  0.0000

***

# Sm2Ho3Tm9
Simulated powder diffractogram, Cu Kα X-rays. Input: a crystal structure in Alexandria, relaxed with GGA-PBE.

Principal peaks in the range 2θ = 15–90°, in order of falling intensity:
32.92 deg, 2.721 Å, intensity 100.0
32.03 deg, 2.795 Å, intensity 86.3
32.63 deg, 2.745 Å, intensity 80.0
32.29 deg, 2.772 Å, intensity 77.3
31.74 deg, 2.819 Å, intensity 51.7
30.47 deg, 2.933 Å, intensity 48.9
33.59 deg, 2.668 Å, intensity 30.7
58.02 deg, 1.590 Å, intensity 23.9
64.09 deg, 1.453 Å, intensity 21.3
47.75 deg, 1.905 Å, intensity 20.5
53.90 deg, 1.701 Å, intensity 19.4
58.52 deg, 1.577 Å, intensity 17.2

abc: 6.3443 8.3038 8.8124
angles: 87.07 82.64 70.88
Fractional coordinates of all 14 atoms:
Sm  0.0000  0.0000  0.0000
Sm  0.1486  0.6469  0.1979
Ho  0.3516  0.0956  0.7487
Ho  0.5250  0.2980  0.0332
Ho  0.6820  0.6111  0.4107
Tm  0.0715  0.2581  0.2535
Tm  0.2019  0.9081  0.4547
Tm  0.2301  0.4473  0.5352
Tm  0.3969  0.6598  0.7874
Tm  0.5467  0.8582  0.0786
Tm  0.6471  0.0620  0.3726
Tm  0.8055  0.2531  0.6567
Tm  0.8400  0.8190  0.6997
Tm  0.9619  0.4682  0.9172

***

# SmHo4Tm4
Simulated powder diffractogram, Cu Kα X-rays. Input: a crystal structure in Alexandria, relaxed with GGA-PBE.

Principal peaks in the range 2θ = 15–90°, in order of falling intensity:
31.13 deg, 2.873 Å, intensity 100.0
36.10 deg, 2.488 Å, intensity 50.6
61.83 deg, 1.500 Å, intensity 42.7
51.97 deg, 1.759 Å, intensity 36.0
84.95 deg, 1.142 Å, intensity 17.9
64.91 deg, 1.437 Å, intensity 12.3
87.65 deg, 1.113 Å, intensity 11.2
87.81 deg, 1.112 Å, intensity 5.6
76.52 deg, 1.245 Å, intensity 3.8
76.70 deg, 1.242 Å, intensity 1.9

abc: 7.8720 7.8720 7.8720
angles: 95.72 95.72 143.20
Fractional coordinates of all 9 atoms:
Sm  0.0000  0.0000  0.0000
Ho  0.3325  0.3325  0.6650
Ho  0.3325  0.6675  0.0000
Ho  0.6675  0.3325  0.0000
Ho  0.6675  0.6675  0.3350
Tm  0.0000  0.3347  0.3347
Tm  0.0000  0.6653  0.6653
Tm  0.3347  0.0000  0.3347
Tm  0.6653  0.0000  0.6653

***

# Sm4HoTm8
Simulated powder diffractogram, Cu Kα X-rays. Input: a crystal structure in Alexandria, relaxed with GGA-PBE.

Principal peaks in the range 2θ = 15–90°, in order of falling intensity:
32.84 deg, 2.727 Å, intensity 100.0
58.64 deg, 1.574 Å, intensity 37.1
47.13 deg, 1.928 Å, intensity 18.1
78.42 deg, 1.220 Å, intensity 15.4
68.86 deg, 1.363 Å, intensity 11.3
19.94 deg, 4.453 Å, intensity 10.2
23.06 deg, 3.856 Å, intensity 9.1
38.72 deg, 2.326 Å, intensity 5.6
25.83 deg, 3.449 Å, intensity 4.9
16.25 deg, 5.454 Å, intensity 3.6
53.10 deg, 1.725 Å, intensity 3.5
87.70 deg, 1.113 Å, intensity 2.9

abc: 7.7129 7.7129 7.7129
angles: 89.93 89.93 89.93
Fractional coordinates of all 13 atoms:
Sm  0.0000  0.0000  0.0000
Sm  0.0000  0.5000  0.5000
Sm  0.5000  0.0000  0.5000
Sm  0.5000  0.5000  0.0000
Ho  0.5000  0.5000  0.5000
Tm  0.2402  0.7591  0.7591
Tm  0.2406  0.2406  0.2406
Tm  0.2409  0.2409  0.7598
Tm  0.2409  0.7598  0.2409
Tm  0.7591  0.2402  0.7591
Tm  0.7591  0.7591  0.2402
Tm  0.7594  0.7594  0.7594
Tm  0.7598  0.2409  0.2409

***

# Sm2Ho5Tm6
Simulated powder diffractogram, Cu Kα X-rays. Input: a crystal structure in Alexandria, relaxed with GGA-PBE.

Principal peaks in the range 2θ = 15–90°, in order of falling intensity:
32.54 deg, 2.752 Å, intensity 100.0
32.25 deg, 2.776 Å, intensity 97.3
31.28 deg, 2.859 Å, intensity 58.7
31.90 deg, 2.805 Å, intensity 46.9
34.69 deg, 2.586 Å, intensity 38.8
57.49 deg, 1.603 Å, intensity 35.3
62.16 deg, 1.493 Å, intensity 34.6
37.01 deg, 2.429 Å, intensity 31.9
27.82 deg, 3.207 Å, intensity 28.5
30.92 deg, 2.892 Å, intensity 26.4
35.60 deg, 2.522 Å, intensity 24.6
55.04 deg, 1.668 Å, intensity 22.7

abc: 11.5554 20.0200 3.5433
angles: 90.00 90.00 90.00
Fractional coordinates of all 26 atoms:
Sm  0.1677  0.2128  0.0000
Sm  0.3323  0.7128  0.0000
Sm  0.6677  0.2872  0.0000
Sm  0.8323  0.7872  0.0000
Ho  0.0000  0.5000  0.5000
Ho  0.0906  0.7752  0.5000
Ho  0.1995  0.0494  0.5000
Ho  0.3005  0.5494  0.5000
Ho  0.4094  0.2752  0.5000
Ho  0.5000  0.0000  0.5000
Ho  0.5906  0.7248  0.5000
Ho  0.6995  0.4506  0.5000
Ho  0.8005  0.9506  0.5000
Ho  0.9094  0.2248  0.5000
Tm  0.0588  0.9205  0.0000
Tm  0.0808  0.6321  0.0000
Tm  0.1767  0.3694  0.5000
Tm  0.3233  0.8694  0.5000
Tm  0.4192  0.1321  0.0000
Tm  0.4412  0.4205  0.0000
Tm  0.5588  0.5795  0.0000
Tm  0.5808  0.8679  0.0000
Tm  0.6767  0.1306  0.5000
Tm  0.8233  0.6306  0.5000
Tm  0.9192  0.3679  0.0000
Tm  0.9412  0.0795  0.0000

***

# Sm2HoTm2
Simulated powder diffractogram, Cu Kα X-rays. Input: a crystal structure in Alexandria, relaxed with GGA-PBE.

Principal peaks in the range 2θ = 15–90°, in order of falling intensity:
31.50 deg, 2.840 Å, intensity 100.0
31.71 deg, 2.822 Å, intensity 75.4
30.11 deg, 2.968 Å, intensity 38.8
34.05 deg, 2.633 Å, intensity 32.4
28.43 deg, 3.139 Å, intensity 22.8
56.31 deg, 1.634 Å, intensity 19.5
35.23 deg, 2.548 Å, intensity 19.0
60.80 deg, 1.523 Å, intensity 16.7
45.48 deg, 1.994 Å, intensity 16.5
43.08 deg, 2.100 Å, intensity 14.9
50.45 deg, 1.809 Å, intensity 14.6
56.19 deg, 1.637 Å, intensity 13.4

abc: 16.0540 16.0540 16.0540
angles: 167.06 159.73 24.12
Fractional coordinates of all 10 atoms:
Sm  0.2729  0.0229  0.2500
Sm  0.3725  0.1225  0.2500
Sm  0.6275  0.8775  0.7500
Sm  0.7271  0.9771  0.7500
Ho  0.1689  0.4189  0.7500
Ho  0.8311  0.5811  0.2500
Tm  0.0530  0.8030  0.2500
Tm  0.4594  0.7094  0.7500
Tm  0.5406  0.2906  0.2500
Tm  0.9470  0.1970  0.7500

***

# Sm6YHoTm2
Simulated powder diffractogram, Cu Kα X-rays. Input: a crystal structure in Alexandria, relaxed with GGA-PBE.

Principal peaks in the range 2θ = 15–90°, in order of falling intensity:
30.43 deg, 2.938 Å, intensity 100.0
31.21 deg, 2.866 Å, intensity 97.1
33.78 deg, 2.654 Å, intensity 80.7
30.57 deg, 2.924 Å, intensity 77.0
31.01 deg, 2.884 Å, intensity 64.8
28.39 deg, 3.144 Å, intensity 59.1
31.37 deg, 2.851 Å, intensity 58.1
32.08 deg, 2.790 Å, intensity 35.8
28.00 deg, 3.186 Å, intensity 28.2
30.68 deg, 2.915 Å, intensity 25.2
37.65 deg, 2.389 Å, intensity 24.1
34.51 deg, 2.599 Å, intensity 23.3

abc: 8.8736 8.8736 9.5784
angles: 93.70 93.70 117.92
Fractional coordinates of all 20 atoms:
Sm  0.0140  0.5643  0.1856
Sm  0.1203  0.7587  0.5538
Sm  0.2413  0.8797  0.9462
Sm  0.2911  0.5063  0.3808
Sm  0.4357  0.9860  0.3144
Sm  0.4937  0.7089  0.1192
Sm  0.5063  0.2911  0.8808
Sm  0.5643  0.0140  0.6856
Sm  0.7089  0.4937  0.6192
Sm  0.7587  0.1203  0.0538
Sm  0.8797  0.2413  0.4462
Sm  0.9860  0.4357  0.8144
Y  0.0261  0.9739  0.2500
Y  0.9739  0.0261  0.7500
Ho  0.4103  0.5897  0.7500
Ho  0.5897  0.4103  0.2500
Tm  0.1997  0.3029  0.0451
Tm  0.3029  0.1997  0.5451
Tm  0.6971  0.8003  0.4549
Tm  0.8003  0.6971  0.9549

***

# Sm2Y5HoTm
Simulated powder diffractogram, Cu Kα X-rays. Input: a crystal structure in Alexandria, relaxed with GGA-PBE.

Principal peaks in the range 2θ = 15–90°, in order of falling intensity:
30.80 deg, 2.903 Å, intensity 100.0
28.78 deg, 3.102 Å, intensity 51.2
29.39 deg, 3.039 Å, intensity 50.3
53.01 deg, 1.727 Å, intensity 23.8
43.66 deg, 2.073 Å, intensity 22.4
38.18 deg, 2.357 Å, intensity 20.4
40.28 deg, 2.239 Å, intensity 17.5
46.11 deg, 1.968 Å, intensity 14.3
36.89 deg, 2.436 Å, intensity 14.2
59.64 deg, 1.550 Å, intensity 14.1
31.55 deg, 2.835 Å, intensity 13.9
22.59 deg, 3.937 Å, intensity 13.8

abc: 9.9472 9.9472 9.9472
angles: 128.80 128.80 75.34
Fractional coordinates of all 18 atoms:
Sm  0.1175  0.6175  0.7350
Sm  0.3825  0.1175  0.5000
Sm  0.6175  0.8825  0.5000
Sm  0.8825  0.3825  0.2650
Y  0.0000  0.0000  0.0000
Y  0.0711  0.1498  0.5000
Y  0.1498  0.6498  0.0787
Y  0.3502  0.4289  0.5000
Y  0.4289  0.9289  0.0787
Y  0.5000  0.5000  0.0000
Y  0.5711  0.0711  0.9213
Y  0.6498  0.5711  0.5000
Y  0.8502  0.3502  0.9213
Y  0.9289  0.8502  0.5000
Ho  0.2500  0.7500  0.5000
Ho  0.7500  0.2500  0.5000
Tm  0.2500  0.2500  0.0000
Tm  0.7500  0.7500  0.0000

***

# SmY2HoTm2
Simulated powder diffractogram, Cu Kα X-rays. Input: a crystal structure in Alexandria, relaxed with GGA-PBE.

Principal peaks in the range 2θ = 15–90°, in order of falling intensity:
31.90 deg, 2.805 Å, intensity 100.0
31.75 deg, 2.818 Å, intensity 95.8
56.76 deg, 1.622 Å, intensity 43.3
45.63 deg, 1.988 Å, intensity 35.2
63.15 deg, 1.472 Å, intensity 28.0
75.75 deg, 1.256 Å, intensity 15.7
81.40 deg, 1.182 Å, intensity 13.7
56.85 deg, 1.620 Å, intensity 12.9
22.36 deg, 3.976 Å, intensity 12.0
66.68 deg, 1.403 Å, intensity 11.9
52.94 deg, 1.730 Å, intensity 8.0
84.54 deg, 1.146 Å, intensity 6.0

abc: 6.9183 9.7206 5.6095
angles: 90.00 90.00 90.00
Fractional coordinates of all 12 atoms:
Sm  0.0000  0.0000  0.0000
Sm  0.5000  0.5000  0.5000
Y  0.2486  0.3333  0.0000
Y  0.2514  0.8333  0.5000
Y  0.7486  0.1667  0.5000
Y  0.7514  0.6667  0.0000
Ho  0.0000  0.5000  0.5000
Ho  0.5000  0.0000  0.0000
Tm  0.2491  0.6667  0.0000
Tm  0.2509  0.1667  0.5000
Tm  0.7491  0.8333  0.5000
Tm  0.7509  0.3333  0.0000

***

# SmY6HoTm2
Simulated powder diffractogram, Cu Kα X-rays. Input: a crystal structure in Alexandria, relaxed with GGA-PBE.

Principal peaks in the range 2θ = 15–90°, in order of falling intensity:
31.35 deg, 2.853 Å, intensity 100.0
30.79 deg, 2.904 Å, intensity 76.9
30.50 deg, 2.931 Å, intensity 70.3
31.70 deg, 2.823 Å, intensity 60.1
28.64 deg, 3.117 Å, intensity 59.9
31.48 deg, 2.842 Å, intensity 58.4
34.06 deg, 2.632 Å, intensity 58.0
28.17 deg, 3.168 Å, intensity 46.5
32.54 deg, 2.752 Å, intensity 44.0
55.95 deg, 1.643 Å, intensity 22.2
41.60 deg, 2.171 Å, intensity 19.6
46.83 deg, 1.940 Å, intensity 18.9

abc: 8.7675 8.7675 9.5273
angles: 93.71 93.71 117.17
Fractional coordinates of all 20 atoms:
Sm  0.0270  0.9730  0.7500
Sm  0.9730  0.0270  0.2500
Y  0.0139  0.5644  0.6827
Y  0.1204  0.7549  0.0564
Y  0.2451  0.8796  0.4436
Y  0.2932  0.5104  0.8840
Y  0.4356  0.9861  0.8173
Y  0.4896  0.7068  0.6160
Y  0.5104  0.2932  0.3840
Y  0.5644  0.0139  0.1827
Y  0.7068  0.4896  0.1160
Y  0.7549  0.1204  0.5564
Y  0.8796  0.2451  0.9436
Y  0.9861  0.4356  0.3173
Ho  0.4099  0.5901  0.2500
Ho  0.5901  0.4099  0.7500
Tm  0.1986  0.3016  0.5484
Tm  0.3016  0.1986  0.0484
Tm  0.6984  0.8014  0.9516
Tm  0.8014  0.6984  0.4516

***

# Sm6YHo4
Simulated powder diffractogram, Cu Kα X-rays. Input: a crystal structure in Alexandria, relaxed with GGA-PBE.

Principal peaks in the range 2θ = 15–90°, in order of falling intensity:
31.77 deg, 2.816 Å, intensity 100.0
30.72 deg, 2.910 Å, intensity 92.5
33.19 deg, 2.699 Å, intensity 83.9
30.60 deg, 2.921 Å, intensity 71.6
30.25 deg, 2.955 Å, intensity 71.4
31.97 deg, 2.800 Å, intensity 60.7
43.92 deg, 2.062 Å, intensity 53.3
55.29 deg, 1.661 Å, intensity 20.9
57.29 deg, 1.608 Å, intensity 19.0
56.21 deg, 1.636 Å, intensity 18.8
56.09 deg, 1.640 Å, intensity 17.8
66.50 deg, 1.406 Å, intensity 17.0

abc: 5.6368 5.6368 25.6837
angles: 90.00 90.00 117.84
Fractional coordinates of all 22 atoms:
Sm  0.0000  0.0000  0.0000
Sm  0.0000  0.0000  0.5000
Sm  0.0506  0.9494  0.7500
Sm  0.2982  0.7018  0.1021
Sm  0.2982  0.7018  0.3979
Sm  0.3775  0.6225  0.6818
Sm  0.3775  0.6225  0.8182
Sm  0.6225  0.3775  0.1818
Sm  0.6225  0.3775  0.3182
Sm  0.7018  0.2982  0.6021
Sm  0.7018  0.2982  0.8979
Sm  0.9494  0.0506  0.2500
Y  0.2871  0.7129  0.2500
Y  0.7129  0.2871  0.7500
Ho  0.0441  0.9559  0.6231
Ho  0.0441  0.9559  0.8769
Ho  0.3506  0.6494  0.5437
Ho  0.3506  0.6494  0.9563
Ho  0.6494  0.3506  0.0437
Ho  0.6494  0.3506  0.4563
Ho  0.9559  0.0441  0.1231
Ho  0.9559  0.0441  0.3769